This entry pairs a crystal structure of Zr3Ga3Ru2 with its computed X-ray diffraction stick pattern. Radiation: Cu Kα X-rays. Structure: a structure optimized by DFT (PBE).
Intensities are scaled so that the largest is 100.

The 10 most intense peaks (5 to 70 degrees two-theta), in order of rising 2θ:
- (2 4 0), 34.85°, I 72.5
- (1 0 2), 35.36°, I 23.1
- (1 5 1), 35.72°, I 21.7
- (1 1 2), 35.83°, I 54.6
- (2 4 1), 38.67°, I 100.0
- (1 3 2), 39.53°, I 57.7
- (1 4 2), 42.54°, I 63.0
- (3 0 1), 42.78°, I 44.5
- (1 7 1), 46.11°, I 21.5
- (0 8 0), 46.80°, I 33.5

Atomic structure:
```
data_Zr3Ga3Ru2
_chemical_formula_sum 'Zr12 Ga12 Ru8'
_space_group_name_H-M_alt 'P n m a'
_space_group_IT_number 62
_cell_length_a 6.8757
_cell_length_b 15.5285
_cell_length_c 5.4658
_cell_angle_alpha 90.00
_cell_angle_beta 90.00
_cell_angle_gamma 90.00
loop_
_space_group_symop_operation_xyz
'x,y,z'
'-x,-y,-z'
'-x+1/2,-y,z+1/2'
'x+1/2,y,-z+1/2'
'x+1/2,-y+1/2,-z+1/2'
'-x+1/2,y+1/2,z+1/2'
'-x,y+1/2,-z'
'x,-y+1/2,z'
loop_
_atom_site_label
_atom_site_fract_x
_atom_site_fract_y
_atom_site_fract_z
Zr1 0.0354 0.1114 0.1141
Zr2 0.1707 0.2500 0.6502
Ga1 0.1793 0.7500 0.6557
Ga2 0.1813 0.0248 0.5894
Ru1 0.1144 0.6197 0.3608
```

This entry pairs a crystal structure of ZrNi3Sb5 with its computed X-ray diffraction stick pattern. Radiation: Cu Kα X-rays. Structure: a structure optimized by DFT (PBE).
Intensities are scaled so that the largest is 100.

The 10 most intense peaks (5 to 70 degrees two-theta), in order of rising 2θ:
- (0 0 2), 23.08°, I 5.8
- (1 1 1), 26.51°, I 9.7
- (1 1 2), 33.40°, I 100.0
- (2 1 1), 38.61°, I 4.2
- (3 0 0), 41.87°, I 53.4
- (1 1 3), 42.71°, I 2.8
- (0 0 4), 47.17°, I 13.3
- (3 0 2), 48.35°, I 3.5
- (2 2 2), 54.59°, I 22.8
- (3 0 4), 64.89°, I 28.0

Atomic structure:
```
data_ZrNi3Sb5
_chemical_formula_sum 'Zr2 Ni6 Sb10'
_space_group_name_H-M_alt 'P 63/m c m'
_space_group_IT_number 193
_space_group_name_Hall '-P 6c 2'
_cell_length_a 7.4736
_cell_length_b 7.4736
_cell_length_c 7.7068
_cell_angle_alpha 90.00
_cell_angle_beta 90.00
_cell_angle_gamma 120.00
loop_
_atom_site_label
_atom_site_fract_x
_atom_site_fract_y
_atom_site_fract_z
Zr1 0.0000 0.0000 0.0000
Ni1 0.0000 0.3532 0.2500
Sb1 0.0000 0.3121 0.7500
Sb2 0.3333 0.6667 0.0000
```

Please write out number 2 again, unchanged.
This entry pairs a crystal structure of ZrNi3Sb5 with its computed X-ray diffraction stick pattern. Radiation: Cu Kα X-rays. Structure: a structure optimized by DFT (PBE).
Intensities are scaled so that the largest is 100.

The 10 most intense peaks (5 to 70 degrees two-theta), in order of rising 2θ:
- (0 0 2), 23.08°, I 5.8
- (1 1 1), 26.51°, I 9.7
- (1 1 2), 33.40°, I 100.0
- (2 1 1), 38.61°, I 4.2
- (3 0 0), 41.87°, I 53.4
- (1 1 3), 42.71°, I 2.8
- (0 0 4), 47.17°, I 13.3
- (3 0 2), 48.35°, I 3.5
- (2 2 2), 54.59°, I 22.8
- (3 0 4), 64.89°, I 28.0

Atomic structure:
```
data_ZrNi3Sb5
_chemical_formula_sum 'Zr2 Ni6 Sb10'
_space_group_name_H-M_alt 'P 63/m c m'
_space_group_IT_number 193
_space_group_name_Hall '-P 6c 2'
_cell_length_a 7.4736
_cell_length_b 7.4736
_cell_length_c 7.7068
_cell_angle_alpha 90.00
_cell_angle_beta 90.00
_cell_angle_gamma 120.00
loop_
_atom_site_label
_atom_site_fract_x
_atom_site_fract_y
_atom_site_fract_z
Zr1 0.0000 0.0000 0.0000
Ni1 0.0000 0.3532 0.2500
Sb1 0.0000 0.3121 0.7500
Sb2 0.3333 0.6667 0.0000
```